# Na3Mn2P2C2O14
Simulated PXRD pattern, a wavelength of 1.5418 Å. Input: a crystal structure in Alexandria, relaxed with GGA+U.
Lines closer than 0.1° are merged.

Most intense lines, 2θ = 10–90°, most intense first:
2theta	I (rel.)
16.74	100.0
27.46	83.3
25.53	80.2
33.82	67.3
34.24	51.9
21.80	50.1
24.07	39.3
19.74	38.0
19.32	33.9
37.17	31.1

Atomic structure:
Lattice parameters (Å, degrees): 10.4269 6.4973 10.4802 90.00 118.69 90.00
Fractional positions:
Na1 0.2335 0.0000 0.2286
Na2 0.2336 0.0340 0.7336
Na3 0.2368 0.5544 0.7350
Na4 0.7632 0.0544 0.2650
Na5 0.7665 0.5000 0.7714
Na6 0.7664 0.5340 0.2664
Mn1 0.3508 0.2963 0.0706
Mn2 0.3529 0.2953 0.5607
Mn3 0.6471 0.7953 0.4393
Mn4 0.6492 0.7963 0.9294
P1 0.4305 0.7933 0.0687
P2 0.4312 0.7913 0.5771
P3 0.5688 0.2913 0.4229
P4 0.5695 0.2933 0.9313
C1 0.0831 0.2845 0.4004
C2 0.0881 0.2914 0.9009
C3 0.9119 0.7914 0.0991
C4 0.9169 0.7845 0.5996
O1 0.0437 0.7959 0.1858
O2 0.0536 0.7890 0.6714
O3 0.1481 0.2845 0.0435
O4 0.1535 0.2958 0.5454
O5 0.1724 0.2699 0.3475
O6 0.1921 0.2948 0.8607
O7 0.3328 0.6046 0.5623
O8 0.3327 0.9806 0.0567
O9 0.3353 0.6040 0.0560
O10 0.3418 0.9826 0.5744
O11 0.4212 0.2761 0.2805
O12 0.4228 0.2968 0.7891
O13 0.4597 0.7957 0.9339
O14 0.4647 0.8020 0.4469
O15 0.5353 0.3020 0.5531
O16 0.5403 0.2957 0.0661
O17 0.5772 0.7968 0.2109
O18 0.5788 0.7761 0.7195
O19 0.6582 0.4826 0.4256
O20 0.6647 0.1040 0.9440
O21 0.6672 0.1046 0.4377
O22 0.6673 0.4806 0.9433
O23 0.8079 0.7948 0.1393
O24 0.8276 0.7699 0.6525
O25 0.8465 0.7958 0.4546
O26 0.8519 0.7845 0.9565
O27 0.9464 0.2890 0.3286
O28 0.9563 0.2959 0.8142